No. 1
Na3SbAs2: simulated powder X-ray diffraction pattern (a wavelength of 1.5418 Å), based on a crystal structure in Alexandria, relaxed with GGA-PBE.

The 10 most intense peaks (10 to 80 degrees two-theta), by angle:
index  d (Å)  I/Imax
0 2 1  5.612  49
0 2 2  3.986  35
2 2 0  3.954  42
0 0 4  2.452  28
2 4 2  2.428  100
4 0 0  2.422  27
0 6 2  2.069  18
4 0 4  1.723  18
2 4 6  1.411  17
6 4 2  1.399  17

Structural model:
```
data_Na3SbAs2
_chemical_formula_sum 'Na24 Sb8 As16'
_symmetry_space_group_name_H-M 'C m c e'
_symmetry_Int_Tables_number 64
_symmetry_space_group_name_Hall '-C 2ac 2'
_cell_length_a 9.6872
_cell_length_b 13.6866
_cell_length_c 9.8090
_cell_angle_alpha 90.00
_cell_angle_beta 90.00
_cell_angle_gamma 90.00
loop_
_atom_site_label
_atom_site_fract_x
_atom_site_fract_y
_atom_site_fract_z
Na1 0.0000 0.1207 0.2494
Na2 0.2503 0.1262 0.0126
Sb1 0.0000 0.1312 0.7500
As1 0.0000 0.2502 0.4991
As2 0.2500 0.0237 0.7500
```



No. 2
YThAl: simulated powder X-ray diffraction pattern (a wavelength of 1.5418 Å), based on a crystal structure in Alexandria, relaxed with GGA-PBE.

The 10 most intense peaks (10 to 80 degrees two-theta), by angle:
index  d (Å)  I/Imax
0 0 2  6.905  37
0 0 4  3.452  26
1 0 1  3.357  58
1 0 3  2.766  100
1 1 0  2.447  39
0 0 6  2.304  22
1 1 4  1.996  24
1 0 7  1.714  19
1 1 6  1.677  21
2 1 3  1.467  29

Structural model:
```
data_YThAl
_chemical_formula_sum 'Y2 Th2 Al2'
_symmetry_space_group_name_H-M 'I 4 m m'
_symmetry_Int_Tables_number 107
_symmetry_space_group_name_Hall 'I 4 -2'
_cell_length_a 3.4604
_cell_length_b 3.4604
_cell_length_c 13.8094
_cell_angle_alpha 90.00
_cell_angle_beta 90.00
_cell_angle_gamma 90.00
loop_
_atom_site_label
_atom_site_fract_x
_atom_site_fract_y
_atom_site_fract_z
Y1 0.0000 0.0000 0.0000
Th1 0.0000 0.0000 0.2947
Al1 0.0000 0.0000 0.6428
```



No. 3
Cd2SiP4O14: simulated powder X-ray diffraction pattern (a wavelength of 1.5418 Å), based on a crystal structure in Alexandria, relaxed with GGA-PBE.

The 10 most intense peaks (10 to 80 degrees two-theta), by angle:
index  d (Å)  I/Imax
2 0 0  8.529  100
3 1 -1  3.868  31
3 1 1  3.539  99
1 1 -3  3.306  17
0 0 4  3.096  29
3 1 -3  3.072  35
5 1 -1  2.917  15
2 0 4  2.718  20
5 1 -3  2.599  13
6 2 -1  1.958  14

Structural model:
```
data_Cd2SiP4O14
_chemical_formula_sum 'Cd8 Si4 P16 O56'
_symmetry_space_group_name_H-M 'C 1 2/c 1'
_symmetry_Int_Tables_number 15
_symmetry_space_group_name_Hall '-C 2yc'
_cell_length_a 17.5198
_cell_length_b 5.2813
_cell_length_c 12.7204
_cell_angle_alpha 90.00
_cell_angle_beta 103.19
_cell_angle_gamma 90.00
loop_
_atom_site_label
_atom_site_fract_x
_atom_site_fract_y
_atom_site_fract_z
Cd1 0.2449 0.1580 0.1318
Si1 0.0000 0.1328 0.7500
P1 0.1191 0.3478 0.6317
P2 0.1307 0.1708 0.4159
O1 0.0435 0.3157 0.6786
O2 0.0611 0.0465 0.3314
O3 0.0890 0.2097 0.5164
O4 0.1336 0.3761 0.1183
O5 0.1493 0.4217 0.3735
O6 0.1870 0.1927 0.6982
O7 0.1968 0.0188 0.9514
```